Ni: theoretical powder diffraction line list (Cu Kα (weighted mean of Kα1 and Kα2)), based on a DFT-relaxed cell (PBE, OQMD).

Crystal structure
Cell: 2.4523 2.4523 29.1534 Å, 90.00 90.00 120.00°
Space group P3m1 (No. 156)
Symmetry-distinct sites (fractional):
Ni 0.0000 0.0000 0.0000
Ni 0.0000 0.0000 0.2073
Ni 0.0000 0.0000 0.4147
Ni 0.3333 0.6667 0.1387
Ni 0.3333 0.6667 0.3457
Ni 0.3333 0.6667 0.9311
Ni 0.6667 0.3333 0.0691
Ni 0.6667 0.3333 0.2769
Ni 0.6667 0.3333 0.4844

Largest 10 diffraction maxima, by angle, 2θ from 10° to 90°:
2theta  I (rel.)  index
12.14  21  0 0 4
43.46  30  0 0 14
44.43  45  1 0 4
45.45  100  1 0 5
46.72  33  0 0 15
51.45  42  0 1 9
53.37  54  0 1 10
76.61  18  1 0 19
77.94  27  1 1 0
79.80  9  1 0 20